Theoretical X-ray diffraction stick pattern
Compound: Ca2Ga3Ni5
Radiation: Cu Kα
Structure: the PBE geometry in Alexandria
Peak positions follow from Bragg's law for the DFT cell and can differ from measured ones.

Crystal structure
```
data_Ca2Ga3Ni5
_chemical_formula_sum 'Ca8 Ga12 Ni20'
_cell_length_a 9.924
_cell_length_b 11.635
_cell_length_c 5.658
_cell_angle_alpha 90.00
_cell_angle_beta 90.00
_cell_angle_gamma 90.00
_space_group_name_H-M_alt 'I b a m'
_space_group_IT_number 72
_space_group_name_Hall '-I 2 2c'
loop_
_atom_site_label
_atom_site_fract_x
_atom_site_fract_y
_atom_site_fract_z
Ca1 0.237 0.127 0.000
Ga1 0.000 0.500 0.250
Ga2 0.109 0.137 0.500
Ni1 0.000 0.000 0.250
Ni2 0.000 0.277 0.250
Ni3 0.150 0.384 0.000
```

Top 12 peaks for 2θ = 15–90°, most intense first:
- 2θ 44.68, rel. 100, hkl 0 4 2
- 2θ 35.00, rel. 73, hkl 3 2 1
- 2θ 36.56, rel. 68, hkl 2 0 2
- 2θ 35.78, rel. 61, hkl 2 4 0
- 2θ 17.88, rel. 46, hkl 2 0 0
- 2θ 48.82, rel. 41, hkl 4 0 2
- 2θ 23.70, rel. 39, hkl 1 2 1
- 2θ 48.21, rel. 36, hkl 4 4 0
- 2θ 51.24, rel. 23, hkl 5 2 1
- 2θ 40.48, rel. 19, hkl 4 1 1
- 2θ 66.05, rel. 16, hkl 0 0 4
- 2θ 58.53, rel. 16, hkl 3 2 3